Starting from a GGA-PBE-relaxed structure, the XRD peak list of Na2P2O7 was computed for CuKα.

```
Na2P2O7
1.0
7.158 0.000 0.000
0.000 13.664 0.000
-0.964 0.000 6.976
Na P O
8 8 28
Cartesian
1.040 1.391 0.299
0.558 5.441 3.788
0.806 8.599 5.862
1.288 11.898 2.374
4.905 1.766 4.602
5.387 5.066 1.114
5.636 8.223 3.189
5.154 12.273 6.677
1.228 1.047 4.037
1.710 5.785 0.549
1.908 8.268 2.379
1.426 12.228 5.867
4.768 1.436 1.109
4.286 5.396 4.597
4.484 7.880 6.427
4.966 12.617 2.939
0.172 1.763 4.858
0.654 5.069 1.370
0.907 0.867 2.557
0.425 5.966 6.045
0.844 7.832 3.372
0.362 12.665 6.860
1.704 9.678 1.817
1.222 10.818 5.305
1.814 7.335 1.056
1.332 13.162 4.544
2.604 1.694 4.136
3.086 5.138 0.648
3.344 1.389 0.573
2.862 5.443 4.061
3.331 8.221 2.915
2.849 12.275 6.403
3.107 8.526 6.328
3.589 11.970 2.840
4.862 0.502 2.432
4.380 6.330 5.920
4.972 2.846 1.671
4.490 3.986 5.159
5.831 1.000 0.116
5.349 5.833 3.604
5.769 7.699 0.931
5.287 12.798 4.419
5.539 8.596 5.606
6.021 11.901 2.118
```

Top 10 peaks for 10° ≤ 2θ ≤ 90°, low angle first:
2θ = 12.96°, 6.832 Å, intensity 100
2θ = 17.80°, 4.984 Å, intensity 27
2θ = 20.12°, 4.414 Å, intensity 24
2θ = 23.09°, 3.852 Å, intensity 33
2θ = 25.12°, 3.545 Å, intensity 65
2θ = 26.09°, 3.416 Å, intensity 69
2θ = 26.37°, 3.380 Å, intensity 54
2θ = 27.40°, 3.255 Å, intensity 27
2θ = 27.69°, 3.221 Å, intensity 25
2θ = 32.33°, 2.769 Å, intensity 40



Starting from a GGA-PBE-relaxed structure, the XRD peak list of Na2P2O13 was computed for CuKα.

```
Na2P2O13
1.0
5.707 -4.173 0.000
5.707 4.173 0.000
-5.340 0.000 11.091
Na P O
4 4 26
Cartesian
1.541 1.224 2.627
-1.129 -1.224 8.172
7.202 1.224 2.919
4.532 -1.224 8.465
0.979 0.800 7.024
3.649 -0.800 1.478
2.424 0.800 9.613
5.095 -0.800 4.067
3.056 3.147 3.886
4.509 3.101 1.297
0.561 2.210 7.253
4.235 3.101 4.248
5.687 3.147 1.659
2.741 0.247 0.945
0.071 -0.247 6.491
-0.190 0.724 10.148
2.395 1.016 5.973
2.842 2.210 9.384
1.008 1.016 10.664
1.702 0.138 8.319
2.480 -0.724 4.602
3.593 0.724 6.489
4.372 -0.138 2.773
5.065 -1.016 0.427
3.232 -2.210 1.707
3.678 -1.016 5.119
6.263 -0.724 0.944
6.002 0.247 4.601
3.332 -0.247 10.146
0.386 -3.147 9.432
1.839 -3.101 6.843
5.512 -2.210 3.838
1.565 -3.101 9.794
3.017 -3.147 7.205
```

Top 10 peaks for 10° ≤ 2θ ≤ 90°, low angle first:
2θ = 13.66°, 6.481 Å, intensity 100
2θ = 13.81°, 6.411 Å, intensity 38
2θ = 22.77°, 3.906 Å, intensity 30
2θ = 23.80°, 3.739 Å, intensity 40
2θ = 26.46°, 3.368 Å, intensity 86
2θ = 28.33°, 3.150 Å, intensity 31
2θ = 30.79°, 2.904 Å, intensity 24
2θ = 32.34°, 2.769 Å, intensity 96
2θ = 33.32°, 2.689 Å, intensity 50
2θ = 39.12°, 2.303 Å, intensity 21



Starting from a GGA-PBE-relaxed structure, the XRD peak list of Na5P3O10 was computed for CuKα.

```
Na5P3O10
1.0
8.156 -2.646 0.000
8.156 2.646 0.000
-0.697 0.000 11.321
Na P O
10 6 20
Cartesian
3.730 1.323 5.660
4.989 1.433 8.985
7.101 1.395 6.089
8.166 1.395 10.892
10.278 1.433 7.996
4.078 -1.323 0.000
5.337 -1.433 3.325
7.449 -1.395 0.429
8.515 -1.395 5.231
10.627 -1.433 2.335
5.692 1.041 1.132
7.982 1.630 2.830
10.272 1.041 4.528
5.343 -1.041 6.792
7.633 -1.630 8.490
9.923 -1.041 10.188
7.300 2.415 3.931
8.663 2.415 1.729
1.851 0.083 10.112
2.200 -0.083 4.452
4.503 0.275 1.699
5.506 0.477 11.121
6.947 0.569 2.193
4.155 -0.275 7.359
9.017 0.569 3.467
5.854 -0.477 5.460
9.761 0.477 5.860
6.598 -0.569 7.854
11.461 0.275 3.961
8.669 -0.569 9.127
10.110 -0.477 0.200
11.112 -0.275 9.621
13.416 0.083 6.869
13.764 -0.083 1.209
6.952 -2.415 9.592
8.315 -2.415 7.389
```

Top 10 peaks for 10° ≤ 2θ ≤ 90°, low angle first:
2θ = 18.53°, 4.787 Å, intensity 79
2θ = 19.16°, 4.631 Å, intensity 76
2θ = 24.45°, 3.640 Å, intensity 26
2θ = 29.31°, 3.047 Å, intensity 38
2θ = 32.80°, 2.730 Å, intensity 100
2θ = 33.67°, 2.662 Å, intensity 56
2θ = 34.23°, 2.620 Å, intensity 62
2θ = 36.73°, 2.447 Å, intensity 24
2θ = 44.35°, 2.042 Å, intensity 20
2θ = 57.79°, 1.595 Å, intensity 25